# 1
# LiMg14FeO16
Theoretical powder XRD pattern, a wavelength of 1.5418 Å. Input: a crystal structure in the Materials Project, relaxed with PBE+U.
Neutral-atom scattering factors, no anomalous dispersion.

Cell and atoms:
```
data_LiMg14FeO16
_space_group_name_H-M_alt 'P 4/m m m'
_space_group_IT_number 123
_space_group_name_Hall '-P 4 2'
_cell_length_a 8.516
_cell_length_b 8.516
_cell_length_c 4.249
_cell_angle_alpha 90.00
_cell_angle_beta 90.00
_cell_angle_gamma 90.00
loop_
_atom_site_label
_atom_site_type_symbol
_atom_site_fract_x
_atom_site_fract_y
_atom_site_fract_z
Li1 Li 0.000 0.000 0.000
Mg1 Mg 0.000 0.242 0.500
Mg2 Mg 0.000 0.500 0.000
Mg3 Mg 0.243 0.243 0.000
Mg4 Mg 0.245 0.500 0.500
Fe1 Fe 0.500 0.500 0.000
O1 O 0.000 0.000 0.500
O2 O 0.000 0.260 0.000
O3 O 0.000 0.500 0.500
O4 O 0.252 0.252 0.500
O5 O 0.260 0.500 0.000
O6 O 0.500 0.500 0.500
```

The 10 most intense peaks (5° ≤ 2θ ≤ 70°), low angle first:
(hkl)  d_spacing  2theta  I (rel.)
1 0 0  8.516  10.39  12
2 1 0  3.805  23.38  10
2 1 1  2.836  31.54  8
2 2 1  2.457  36.58  12
3 0 1  2.361  38.12  2
0 0 2  2.127  42.49  100
2 1 2  1.856  49.07  2
5 2 0  1.581  58.38  2
4 0 2  1.504  61.66  56
5 2 1  1.482  62.70  3


# 2
# K3EuV2O8
Theoretical powder XRD pattern, a wavelength of 1.5418 Å. Input: a crystal structure in the Materials Project, relaxed with PBE+U.
Neutral-atom scattering factors, no anomalous dispersion.

Cell and atoms:
```
data_K3EuV2O8
_space_group_name_H-M_alt 'P 1 21/m 1'
_space_group_IT_number 11
_cell_length_a 7.664
_cell_length_b 6.063
_cell_length_c 10.050
_cell_angle_alpha 90.00
_cell_angle_beta 91.14
_cell_angle_gamma 90.00
loop_
_space_group_symop_operation_xyz
'x,y,z'
'-x,-y,-z'
'-x,y+1/2,-z'
'x,-y+1/2,z'
loop_
_atom_site_label
_atom_site_type_symbol
_atom_site_fract_x
_atom_site_fract_y
_atom_site_fract_z
K1 K 0.004 0.250 0.193
K2 K 0.140 0.750 0.419
K3 K 0.310 0.250 0.918
Eu1 Eu 0.486 0.750 0.717
V1 V 0.260 0.750 0.090
V2 V 0.312 0.250 0.573
O1 O 0.037 0.750 0.094
O2 O 0.196 0.250 0.423
O3 O 0.262 0.015 0.667
O4 O 0.329 0.750 0.925
O5 O 0.339 0.512 0.171
O6 O 0.472 0.750 0.471
```

The 10 most intense peaks (5° ≤ 2θ ≤ 70°), low angle first:
(hkl)  d_spacing  2theta  I (rel.)
1 0 0  7.662  11.55  83
0 1 1  5.191  17.08  28
1 1 1  4.277  20.77  57
1 0 -2  4.240  20.95  27
2 1 -1  3.097  28.83  39
2 0 -2  3.071  29.08  100
0 2 0  3.032  29.46  65
0 1 3  2.932  30.49  83
3 1 -1  2.301  39.15  20
2 2 -2  2.159  41.84  23